Structure and theoretical X-ray diffraction stick pattern of Ca2Cd5 (a DFT-relaxed cell (PBE, Alexandria); CuKα).
Intensities are scaled so that the largest is 100.

Cell and atoms:
Unit cell a=8.710 b=8.710 c=8.710 alpha=126.65 beta=71.92 gamma=135.51
Fractional coordinates of all 14 atoms:
Ca 0.099 0.182 0.281
Ca 0.401 0.682 0.083
Ca 0.599 0.318 0.917
Ca 0.901 0.818 0.719
Cd 0.022 0.750 0.272
Cd 0.132 0.765 0.898
Cd 0.250 0.750 0.500
Cd 0.368 0.265 0.633
Cd 0.478 0.750 0.728
Cd 0.522 0.250 0.272
Cd 0.632 0.735 0.367
Cd 0.750 0.250 0.500
Cd 0.868 0.235 0.102
Cd 0.978 0.250 0.728

Most intense lines, 2θ from 10° to 80°, by intensity:
35.6°, I 100
34.3°, I 95
37.3°, I 82
21.7°, I 42
12.9°, I 30
30.1°, I 29
33.8°, I 28
61.1°, I 27
67.1°, I 25
55.5°, I 19

Structure and theoretical X-ray diffraction stick pattern of Ca5CeCd6 (a DFT-relaxed cell (PBE, Alexandria); CuKα).
Intensities are scaled so that the largest is 100.

Cell and atoms:
Unit cell a=8.567 b=8.567 c=7.667 alpha=90.00 beta=90.00 gamma=143.01
Fractional coordinates of all 12 atoms:
Ca 0.000 0.000 0.000
Ca 0.332 0.668 0.500
Ca 0.335 0.665 0.000
Ca 0.665 0.335 0.000
Ca 0.668 0.332 0.500
Ce 0.000 0.000 0.500
Cd 0.166 0.834 0.251
Cd 0.166 0.834 0.749
Cd 0.500 0.500 0.255
Cd 0.500 0.500 0.745
Cd 0.834 0.166 0.251
Cd 0.834 0.166 0.749

Most intense lines, 2θ from 10° to 80°, by intensity:
33.0°, I 100
58.9°, I 21
59.1°, I 21
47.4°, I 21
33.1°, I 20
23.2°, I 15
79.0°, I 14
69.3°, I 8
40.7°, I 5
53.4°, I 3

Structure and theoretical X-ray diffraction stick pattern of Cs3CaCd2Cl9 (a DFT-relaxed cell (PBE, Alexandria); CuKα).
Intensities are scaled so that the largest is 100.

Cell and atoms:
Unit cell a=7.591 b=7.591 c=9.315 alpha=90.00 beta=90.00 gamma=120.00
Fractional coordinates of all 15 atoms:
Cs 0.000 0.000 0.000
Cs 0.333 0.667 0.670
Cs 0.667 0.333 0.330
Ca 0.000 0.000 0.500
Cd 0.333 0.667 0.165
Cd 0.667 0.333 0.835
Cl 0.000 0.500 0.000
Cl 0.169 0.338 0.330
Cl 0.169 0.831 0.330
Cl 0.338 0.169 0.670
Cl 0.500 0.000 0.000
Cl 0.500 0.500 0.000
Cl 0.662 0.831 0.330
Cl 0.831 0.169 0.670
Cl 0.831 0.662 0.670

Most intense lines, 2θ from 10° to 80°, by intensity:
23.4°, I 100
33.4°, I 64
41.2°, I 46
47.9°, I 43
28.8°, I 26
54.0°, I 21
79.9°, I 18
64.9°, I 12
65.0°, I 12
59.7°, I 11

Structure and theoretical X-ray diffraction stick pattern of Ca2Cd2Co (a DFT-relaxed cell (PBE, Alexandria); CuKα).
Intensities are scaled so that the largest is 100.

Cell and atoms:
Unit cell a=7.193 b=7.193 c=4.907 alpha=90.00 beta=90.00 gamma=90.00
Fractional coordinates of all 10 atoms:
Ca 0.176 0.324 0.000
Ca 0.324 0.824 0.000
Ca 0.676 0.176 0.000
Ca 0.824 0.676 0.000
Cd 0.143 0.643 0.500
Cd 0.357 0.143 0.500
Cd 0.643 0.857 0.500
Cd 0.857 0.357 0.500
Co 0.000 0.000 0.500
Co 0.500 0.500 0.500

Most intense lines, 2θ from 10° to 80°, by intensity:
33.3°, I 100
18.1°, I 43
39.6°, I 29
36.6°, I 24
55.1°, I 21
43.9°, I 20
27.7°, I 19
63.8°, I 14
73.5°, I 11
46.6°, I 9

Structure and theoretical X-ray diffraction stick pattern of Cs2CaCd2O4 (a DFT-relaxed cell (PBE, Alexandria); CuKα).
Intensities are scaled so that the largest is 100.

Cell and atoms:
Unit cell a=7.553 b=7.553 c=7.161 alpha=108.39 beta=108.39 gamma=28.89
Fractional coordinates of all 9 atoms:
Cs 0.127 0.127 0.010
Cs 0.873 0.873 0.990
Ca 0.000 0.000 0.500
Cd 0.334 0.334 0.532
Cd 0.666 0.666 0.468
O 0.202 0.202 0.650
O 0.486 0.486 0.705
O 0.514 0.514 0.295
O 0.798 0.798 0.350

Most intense lines, 2θ from 10° to 80°, by intensity:
30.8°, I 100
26.3°, I 97
35.9°, I 78
28.9°, I 68
45.5°, I 43
25.8°, I 39
26.8°, I 32
34.6°, I 31
30.3°, I 31
58.1°, I 29

What did the fifth record say?
Structure and theoretical X-ray diffraction stick pattern of Cs2CaCd2O4 (a DFT-relaxed cell (PBE, Alexandria); CuKα).
Intensities are scaled so that the largest is 100.

Cell and atoms:
Unit cell a=7.553 b=7.553 c=7.161 alpha=108.39 beta=108.39 gamma=28.89
Fractional coordinates of all 9 atoms:
Cs 0.127 0.127 0.010
Cs 0.873 0.873 0.990
Ca 0.000 0.000 0.500
Cd 0.334 0.334 0.532
Cd 0.666 0.666 0.468
O 0.202 0.202 0.650
O 0.486 0.486 0.705
O 0.514 0.514 0.295
O 0.798 0.798 0.350

Most intense lines, 2θ from 10° to 80°, by intensity:
30.8°, I 100
26.3°, I 97
35.9°, I 78
28.9°, I 68
45.5°, I 43
25.8°, I 39
26.8°, I 32
34.6°, I 31
30.3°, I 31
58.1°, I 29

What is the formula in the second record?
Ca5CeCd6

Which formula does entry 1 have?
Ca2Cd5